Structure and calculated X-ray powder pattern of MnIrRh2O8 (a cell relaxed with GGA+U; copper Kα).

Cell and atoms:
```
12
Lattice="3.200 -3.228 0.000 3.200 3.228 0.000 0.000 0.000 6.272" Properties=species:S:1:pos:R:3 pbc="T T T"
Mn 0.000 0.000 0.000
Ir 0.000 0.000 3.136
Rh 3.200 0.000 1.562
Rh 3.200 0.000 4.710
O 3.200 1.984 1.586
O 3.200 1.984 4.686
O 1.935 0.000 3.136
O 1.946 0.000 0.000
O 4.454 0.000 0.000
O 4.465 0.000 3.136
O 3.200 -1.984 1.586
O 3.200 -1.984 4.686
```

Most intense lines, 5° ≤ 2θ ≤ 70°, sorted by position:
two_theta, d_spacing, I (rel.)
14.12, 6.272, 21
24.18, 3.680, 26
27.64, 3.228, 61
27.88, 3.200, 59
34.76, 2.581, 100
39.66, 2.273, 26
53.60, 1.710, 40
53.88, 1.702, 39
58.90, 1.568, 10
66.27, 1.410, 10
66.40, 1.408, 10
68.82, 1.364, 23